[1]
Nb4V3FeSe20: theoretical PXRD pattern (Cu Kα (weighted mean of Kα1 and Kα2)), based on a GGA-PBE-relaxed structure.
Peak positions follow from Bragg's law for the DFT cell and can differ from measured ones.

Atomic structure:
Cell lengths 9.4766, 3.4916, 18.7774 Å; angles 90.00, 93.44, 90.00 degrees
Fractional positions:
Nb 0.0000 0.0000 0.0000
Nb 0.1862 0.5000 0.6332
Nb 0.4947 0.0000 0.4969
Nb 0.6909 0.5000 0.1370
V 0.1811 0.5000 0.3576
V 0.4845 0.0000 0.7682
V 0.7005 0.5000 0.8648
Fe 0.9923 0.0000 0.2668
Se 0.0099 0.0000 0.5681
Se 0.0139 0.0000 0.3923
Se 0.0150 0.0000 0.6939
Se 0.1512 0.5000 0.2333
Se 0.1683 0.5000 0.9382
Se 0.1770 0.5000 0.0647
Se 0.2831 0.5000 0.4951
Se 0.2904 0.5000 0.7714
Se 0.3829 0.0000 0.3592
Se 0.3967 0.0000 0.6331
Se 0.5142 0.0000 0.0716
Se 0.5197 0.0000 0.1979
Se 0.5218 0.0000 0.8969
Se 0.6628 0.5000 0.7360
Se 0.6666 0.5000 0.4366
Se 0.6730 0.5000 0.5623
Se 0.7900 0.5000 0.0012
Se 0.8133 0.5000 0.2726
Se 0.8945 0.0000 0.8614
Se 0.9010 0.0000 0.1401

Most intense lines, 10 to 90 degrees two-theta, by angle:
- 2θ 10.22, I = 25
- 2θ 10.73, I = 12
- 2θ 16.53, I = 28
- 2θ 31.86, I = 100
- 2θ 35.38, I = 34
- 2θ 40.56, I = 28
- 2θ 43.19, I = 28
- 2θ 44.13, I = 19
- 2θ 52.41, I = 19
- 2θ 64.84, I = 13

[2]
Nb4Fe3Si5: theoretical PXRD pattern (Cu Kα (weighted mean of Kα1 and Kα2)), based on a GGA-PBE-relaxed structure.
Peak positions follow from Bragg's law for the DFT cell and can differ from measured ones.

Atomic structure:
Cell lengths 7.6599, 4.9001, 4.9001 Å; angles 60.62, 90.00, 90.00 degrees
Fractional positions:
Nb 0.1808 0.0000 0.0000
Nb 0.3140 0.3339 0.3339
Nb 0.6860 0.3339 0.3339
Nb 0.8192 0.0000 0.0000
Fe 0.2455 0.6633 0.6633
Fe 0.5000 0.8354 0.8354
Fe 0.7545 0.6633 0.6633
Si 0.0000 0.0008 0.4980
Si 0.0000 0.4963 0.4963
Si 0.0000 0.4980 0.0008
Si 0.5000 0.3294 0.8329
Si 0.5000 0.8329 0.3294

Most intense lines, 10 to 90 degrees two-theta, by angle:
- 2θ 36.33, I = 46
- 2θ 36.68, I = 68
- 2θ 41.19, I = 88
- 2θ 41.30, I = 33
- 2θ 43.56, I = 39
- 2θ 43.87, I = 100
- 2θ 44.03, I = 44
- 2θ 44.43, I = 22
- 2θ 70.60, I = 23
- 2θ 78.00, I = 20

[3]
NbFeSi: theoretical PXRD pattern (Cu Kα (weighted mean of Kα1 and Kα2)), based on a GGA-PBE-relaxed structure.
Peak positions follow from Bragg's law for the DFT cell and can differ from measured ones.

Atomic structure:
Cell lengths 4.9395, 4.9395, 4.9540 Å; angles 90.00, 90.00, 137.19 degrees
Fractional positions:
Nb 0.2105 0.7895 0.7500
Nb 0.7895 0.2105 0.2500
Fe 0.5000 0.5000 0.0000
Fe 0.5000 0.5000 0.5000
Si 0.0831 0.9169 0.2500
Si 0.9169 0.0831 0.7500

Most intense lines, 10 to 90 degrees two-theta, by angle:
- 2θ 32.21, I = 100
- 2θ 38.55, I = 76
- 2θ 39.18, I = 22
- 2θ 41.40, I = 67
- 2θ 42.81, I = 71
- 2θ 43.38, I = 38
- 2θ 45.51, I = 69
- 2θ 50.64, I = 36
- 2θ 67.40, I = 29
- 2θ 68.68, I = 26